Diffraction record for Lu4Fe. The powder diffractogram is calculated, not measured: it uses a structure optimized by DFT (PBE) and Cu Kα.
Lines closer than 0.1° are merged.

Structure:
a = 10.244 Å, b = 10.244 Å, c = 10.244 Å
α = 90.00°, β = 90.00°, γ = 90.00°
Space group Fd-3m (No. 227, origin choice 2)
Symmetry-distinct sites (fractional):
Lu: 0.010 0.010 0.240 (multiplicity 32)
Fe: 0.125 0.125 0.625 (multiplicity 8)

Most intense lines, 10 to 90 degrees two-theta, low angle first:
| 2θ/deg | I (rel.) | index |
| --- | --- | --- |
| 30.2 | 100 | 2 2 2 |
| 35.0 | 42 | 4 0 0 |
| 38.3 | 7 | 3 3 1 |
| 46.0 | 9 | 5 1 1 |
| 50.4 | 40 | 4 4 0 |
| 59.9 | 39 | 6 2 2 |
| 62.9 | 9 | 4 4 4 |
| 65.0 | 4 | 5 5 1 |
| 74.0 | 6 | 8 0 0 |
| 76.1 | 4 | 7 3 3 |
| 82.0 | 14 | 6 6 2 |
| 84.6 | 11 | 8 4 0 |